Calculated X-ray diffraction stick pattern of UVZn2O8 for Cu Kα, 1.54184 Å, from the GGA+U geometry in Alexandria.
Neutral-atom scattering factors, no anomalous dispersion.

Top 10 peaks for 10 to 90 degrees two-theta, in order of rising 2θ:
2θ = 14.12°, I = 32.3; 2θ = 18.63°, I = 32.5; 2θ = 23.45°, I = 60.5; 2θ = 25.60°, I = 76.0; 2θ = 27.30°, I = 61.2; 2θ = 34.23°, I = 100.0; 2θ = 37.77°, I = 29.1; 2θ = 50.92°, I = 53.5; 2θ = 52.83°, I = 39.9; 2θ = 65.94°, I = 26.9

Crystal structure
abc: 4.773 4.773 6.274
angles: 90.00 90.00 93.60
Fractional positions:
U 0.000 0.000 0.000
V 0.000 0.000 0.500
Zn 0.500 0.500 0.266
Zn 0.500 0.500 0.734
O 0.182 0.818 0.269
O 0.182 0.818 0.731
O 0.286 0.286 0.500
O 0.307 0.307 0.000
O 0.693 0.693 0.000
O 0.714 0.714 0.500
O 0.818 0.182 0.269
O 0.818 0.182 0.731